1.
CsBa2ZnPd: calculated powder diffractogram (Cu Kα (λ = 1.5418 Å)), based on a DFT-relaxed cell (GGA-PBE, Alexandria).
Kinematic intensities with the Lorentz-polarization factor, no thermal factor.

Crystal structure
a b c (Å): 6.317 6.317 5.280
angles (deg): 90.00 90.00 90.00
Space group P4/mmm (No. 123)
Inequivalent atoms, fractional coordinates:
Cs (0.000, 0.000, 0.000) (multiplicity 1)
Ba (0.000, 0.500, 0.500) (multiplicity 2)
Zn (0.500, 0.500, 0.000) (multiplicity 1)
Pd (0.500, 0.500, 0.500) (multiplicity 1)

Principal peaks in the range 2θ = 10–90°, sorted by position:
- 21.9 deg, I = 32.0, hkl 1 0 1
- 26.1 deg, I = 93.9, hkl 1 1 1
- 28.3 deg, I = 100.0, hkl 2 0 0
- 34.0 deg, I = 30.7, hkl 0 0 2
- 36.1 deg, I = 17.5, hkl 2 1 1
- 40.4 deg, I = 37.7, hkl 2 2 0
- 44.7 deg, I = 56.1, hkl 2 0 2
- 48.7 deg, I = 33.5, hkl 3 1 1
- 53.8 deg, I = 32.4, hkl 2 2 2
- 76.5 deg, I = 22.8, hkl 4 2 2

***

2.
HoTm3Co: calculated powder diffractogram (Cu Kα (λ = 1.5418 Å)), based on a DFT-relaxed cell (GGA-PBE, Alexandria).
Kinematic intensities with the Lorentz-polarization factor, no thermal factor.

Crystal structure
a b c (Å): 7.724 10.038 7.163
angles (deg): 90.00 90.00 90.00
Space group Imma (No. 74)
Inequivalent atoms, fractional coordinates:
Ho (0.000, 0.250, 0.004) (multiplicity 4)
Tm (0.000, 0.250, 0.495) (multiplicity 4)
Tm (0.250, 0.009, 0.750) (multiplicity 8)
Co (0.250, 0.250, 0.250) (multiplicity 4)

Principal peaks in the range 2θ = 10–90°, sorted by position:
- 29.2 deg, I = 100.0, hkl 2 2 0
- 30.7 deg, I = 87.8, hkl 0 2 2
- 34.1 deg, I = 97.4, hkl 2 0 2
- 35.8 deg, I = 41.9, hkl 0 4 0
- 47.1 deg, I = 19.9, hkl 4 0 0
- 50.3 deg, I = 63.7, hkl 2 4 2
- 51.0 deg, I = 15.6, hkl 0 0 4
- 57.2 deg, I = 30.8, hkl 4 2 2
- 59.8 deg, I = 26.9, hkl 2 2 4
- 60.5 deg, I = 18.3, hkl 4 4 0